No. 1
Theoretical powder XRD pattern of Ba3Na2H5Se2 for a wavelength of 1.5418 Å, from a structure optimized by DFT (GGA-PBE).
Lines closer than 0.1° are merged.

Structural model:
```
data_Ba3Na2H5Se2
_chemical_formula_sum 'Ba6 Na4 H10 Se4'
_cell_length_a 4.481
_cell_length_b 4.481
_cell_length_c 25.050
_cell_angle_alpha 90.00
_cell_angle_beta 90.00
_cell_angle_gamma 90.00
_symmetry_space_group_name_H-M 'I 4/m m m'
_symmetry_Int_Tables_number 139
_symmetry_space_group_name_Hall '-I 4 2'
loop_
_atom_site_label
_atom_site_type_symbol
_atom_site_fract_x
_atom_site_fract_y
_atom_site_fract_z
Ba1 Ba 0.000 0.000 0.000
Ba2 Ba 0.000 0.000 0.169
Na1 Na 0.000 0.000 0.415
H1 H 0.000 0.000 0.500
H2 H 0.000 0.500 0.080
Se1 Se 0.000 0.000 0.299
```

Most intense lines, 2θ = 10–80°, sorted by position:
(1 0 1), 2θ 20.13, d = 4.411 Å, I = 351; (0 0 6), 2θ 21.28, d = 4.175 Å, I = 408; (1 0 5), 2θ 26.69, d = 3.340 Å, I = 160; (1 1 0), 2θ 28.16, d = 3.169 Å, I = 1000; (1 0 7), 2θ 32.01, d = 2.796 Å, I = 690; (1 1 6), 2θ 35.57, d = 2.524 Å, I = 470; (2 0 0), 2θ 40.25, d = 2.241 Å, I = 392; (2 0 6), 2θ 45.97, d = 1.974 Å, I = 215; (2 1 7), 2θ 52.32, d = 1.749 Å, I = 336; (2 2 0), 2θ 58.23, d = 1.584 Å, I = 129; (3 1 0), 2θ 65.91, d = 1.417 Å, I = 174; (3 1 6), 2θ 70.13, d = 1.342 Å, I = 130

---

No. 2
Theoretical powder XRD pattern of Rb3Cu2BiBr9 for a wavelength of 1.5418 Å, from a structure optimized by DFT (GGA-PBE).
Lines closer than 0.1° are merged.

Structural model:
```
data_Rb3Cu2BiBr9
_chemical_formula_sum 'Rb3 Cu2 Bi1 Br9'
_cell_length_a 7.6614
_cell_length_b 7.6614
_cell_length_c 9.4881
_cell_angle_alpha 90.00
_cell_angle_beta 90.00
_cell_angle_gamma 120.00
_symmetry_space_group_name_H-M 'P -3 m 1'
_symmetry_Int_Tables_number 164
_symmetry_space_group_name_Hall '-P 3 2"'
loop_
_atom_site_label
_atom_site_type_symbol
_atom_site_fract_x
_atom_site_fract_y
_atom_site_fract_z
Rb1 Rb 0.0000 0.0000 0.0000
Rb2 Rb 0.3333 0.6667 0.6863
Cu1 Cu 0.3333 0.6667 0.1405
Bi1 Bi 0.0000 0.0000 0.5000
Br1 Br 0.0000 0.5000 0.0000
Br2 Br 0.1742 0.3483 0.3220
```

Most intense lines, 2θ = 10–80°, sorted by position:
(1 0 1), 2θ 16.30, d = 5.437 Å, I = 398; (0 1 2), 2θ 23.05, d = 3.859 Å, I = 198; (1 1 0), 2θ 23.22, d = 3.831 Å, I = 175; (0 0 3), 2θ 28.22, d = 3.163 Å, I = 119; (0 2 1), 2θ 28.50, d = 3.132 Å, I = 382; (2 0 2), 2θ 32.95, d = 2.719 Å, I = 1000; (2 1 1), 2θ 37.08, d = 2.425 Å, I = 124; (0 2 4), 2θ 47.10, d = 1.930 Å, I = 326; (2 2 0), 2θ 47.47, d = 1.915 Å, I = 348; (0 4 2), 2θ 58.99, d = 1.566 Å, I = 179; (2 2 6), 2θ 78.42, d = 1.219 Å, I = 125; (4 2 2), 2θ 78.98, d = 1.212 Å, I = 152

---

No. 3
Theoretical powder XRD pattern of Li2Os for a wavelength of 1.5418 Å, from a structure optimized by DFT (GGA-PBE).
Lines closer than 0.1° are merged.

Structural model:
```
data_Li2Os
_chemical_formula_sum 'Li16 Os8'
_cell_length_a 4.489
_cell_length_b 4.489
_cell_length_c 15.558
_cell_angle_alpha 90.00
_cell_angle_beta 90.00
_cell_angle_gamma 90.00
_symmetry_space_group_name_H-M 'I 41/a m d'
_symmetry_Int_Tables_number 141
loop_
_symmetry_equiv_pos_as_xyz
'x,y,z'
'-x,-y,-z'
'-y+1/4,x+3/4,z+1/4'
'y+1/4,-x+3/4,-z+1/4'
'-x+1/2,-y,z+1/2'
'x+1/2,y,-z+1/2'
'y+1/4,-x+1/4,z+3/4'
'-y+1/4,x+1/4,-z+3/4'
'x,-y,-z'
'-x,y,z'
'-y+1/4,-x+1/4,-z+3/4'
'y+1/4,x+1/4,z+3/4'
'-x+1/2,y,-z+1/2'
'x+1/2,-y,z+1/2'
'y+1/4,x+3/4,-z+1/4'
'-y+1/4,-x+3/4,z+1/4'
'x+1/2,y+1/2,z+1/2'
'-x+1/2,-y+1/2,-z+1/2'
'-y+3/4,x+1/4,z+3/4'
'y+3/4,-x+1/4,-z+3/4'
'-x,-y+1/2,z'
'x,y+1/2,-z'
'y+3/4,-x+3/4,z+1/4'
'-y+3/4,x+3/4,-z+1/4'
'x+1/2,-y+1/2,-z+1/2'
'-x+1/2,y+1/2,z+1/2'
'-y+3/4,-x+3/4,-z+1/4'
'y+3/4,x+3/4,z+1/4'
'-x,y+1/2,-z'
'x,-y+1/2,z'
'y+3/4,x+1/4,-z+3/4'
'-y+3/4,-x+1/4,z+3/4'
loop_
_atom_site_label
_atom_site_type_symbol
_atom_site_fract_x
_atom_site_fract_y
_atom_site_fract_z
Li1 Li 0.000 0.250 0.122
Li2 Li 0.000 0.250 0.789
Os1 Os 0.000 0.250 0.293
```

Most intense lines, 2θ = 10–80°, sorted by position:
(1 0 1), 2θ 20.59, d = 4.313 Å, I = 1000; (0 0 4), 2θ 22.86, d = 3.889 Å, I = 121; (1 1 2), 2θ 30.42, d = 2.939 Å, I = 265; (1 0 5), 2θ 35.09, d = 2.557 Å, I = 256; (2 0 0), 2θ 40.18, d = 2.244 Å, I = 287; (1 1 6), 2θ 45.15, d = 2.008 Å, I = 413; (1 0 7), 2θ 45.56, d = 1.991 Å, I = 392; (0 0 8), 2θ 46.72, d = 1.944 Å, I = 97; (2 1 5), 2θ 54.39, d = 1.687 Å, I = 149; (2 2 0), 2θ 58.13, d = 1.587 Å, I = 99; (2 1 7), 2θ 62.33, d = 1.490 Å, I = 158; (3 1 6), 2θ 76.51, d = 1.245 Å, I = 177

---

No. 4
Theoretical powder XRD pattern of PrAlZn3 for a wavelength of 1.5418 Å, from a structure optimized by DFT (GGA-PBE).
Lines closer than 0.1° are merged.

Structural model:
```
data_PrAlZn3
_chemical_formula_sum 'Pr1 Al1 Zn3'
_cell_length_a 4.801
_cell_length_b 4.801
_cell_length_c 4.787
_cell_angle_alpha 90.00
_cell_angle_beta 90.00
_cell_angle_gamma 90.00
_symmetry_space_group_name_H-M 'P 4/m m m'
_symmetry_Int_Tables_number 123
_symmetry_space_group_name_Hall '-P 4 2'
loop_
_atom_site_label
_atom_site_type_symbol
_atom_site_fract_x
_atom_site_fract_y
_atom_site_fract_z
Pr1 Pr 0.000 0.000 0.000
Al1 Al 0.500 0.500 0.500
Zn1 Zn 0.000 0.500 0.500
Zn2 Zn 0.500 0.500 0.000
```

Most intense lines, 2θ = 10–80°, sorted by position:
(1 0 0), 2θ 18.50, d = 4.796 Å, I = 47; (1 1 0), 2θ 26.28, d = 3.392 Å, I = 224; (1 1 1), 2θ 32.33, d = 2.769 Å, I = 1000; (2 0 0), 2θ 37.47, d = 2.400 Å, I = 453; (0 0 2), 2θ 37.58, d = 2.394 Å, I = 225; (2 1 1), 2θ 46.37, d = 1.958 Å, I = 96; (2 2 0), 2θ 54.08, d = 1.696 Å, I = 458; (3 1 1), 2θ 64.38, d = 1.447 Å, I = 260; (1 1 3), 2θ 64.53, d = 1.444 Å, I = 129; (2 2 2), 2θ 67.67, d = 1.385 Å, I = 151; (3 2 1), 2θ 73.90, d = 1.282 Å, I = 34; (4 0 0), 2θ 79.93, d = 1.200 Å, I = 47

---

No. 5
Theoretical powder XRD pattern of Sr3Mg4Tl8 for a wavelength of 1.5418 Å, from a structure optimized by DFT (GGA-PBE).
Lines closer than 0.1° are merged.

Structural model:
```
data_Sr3Mg4Tl8
_chemical_formula_sum 'Sr3 Mg4 Tl8'
_cell_length_a 7.571
_cell_length_b 7.571
_cell_length_c 7.571
_cell_angle_alpha 90.00
_cell_angle_beta 90.00
_cell_angle_gamma 90.00
_symmetry_space_group_name_H-M 'P m -3 m'
_symmetry_Int_Tables_number 221
_symmetry_space_group_name_Hall '-P 4 2 3'
loop_
_atom_site_label
_atom_site_type_symbol
_atom_site_fract_x
_atom_site_fract_y
_atom_site_fract_z
Sr1 Sr 0.000 0.000 0.500
Mg1 Mg 0.000 0.000 0.000
Mg2 Mg 0.000 0.500 0.500
Tl1 Tl 0.273 0.273 0.273
```

Most intense lines, 2θ = 10–80°, sorted by position:
(2 0 0), 2θ 23.50, d = 3.786 Å, I = 480; (2 1 0), 2θ 26.32, d = 3.386 Å, I = 102; (2 2 0), 2θ 33.48, d = 2.677 Å, I = 1000; (3 0 0), 2θ 35.57, d = 2.524 Å, I = 77; (2 2 2), 2θ 41.31, d = 2.186 Å, I = 122; (3 2 0), 2θ 43.08, d = 2.100 Å, I = 88; (4 0 0), 2θ 48.07, d = 1.893 Å, I = 159; (3 2 2), 2θ 49.65, d = 1.836 Å, I = 98; (4 2 0), 2θ 54.18, d = 1.693 Å, I = 134; (4 2 2), 2θ 59.84, d = 1.545 Å, I = 293; (5 2 0), 2θ 66.51, d = 1.406 Å, I = 132; (4 4 0), 2θ 70.34, d = 1.338 Å, I = 79

---

No. 6
Theoretical powder XRD pattern of Sr2TbGa2O6 for a wavelength of 1.5418 Å, from a structure optimized by DFT (GGA-PBE).
Lines closer than 0.1° are merged.

Structural model:
```
data_Sr2TbGa2O6
_chemical_formula_sum 'Sr2 Tb1 Ga2 O6'
_cell_length_a 6.0378
_cell_length_b 6.0378
_cell_length_c 6.9953
_cell_angle_alpha 90.00
_cell_angle_beta 90.00
_cell_angle_gamma 120.00
_symmetry_space_group_name_H-M 'P -3'
_symmetry_Int_Tables_number 147
_symmetry_space_group_name_Hall '-P 3'
loop_
_atom_site_label
_atom_site_type_symbol
_atom_site_fract_x
_atom_site_fract_y
_atom_site_fract_z
Sr1 Sr 0.3333 0.6667 0.3308
Tb1 Tb 0.0000 0.0000 0.5000
Ga1 Ga 0.3333 0.6667 0.7653
O1 O 0.0842 0.3566 0.6726
```

Most intense lines, 2θ = 10–80°, sorted by position:
(0 0 1), 2θ 12.65, d = 6.995 Å, I = 1000; (0 1 1), 2θ 21.21, d = 4.188 Å, I = 357; (1 1 0), 2θ 29.59, d = 3.019 Å, I = 981; (1 0 2), 2θ 30.75, d = 2.907 Å, I = 861; (2 -1 1), 2θ 32.30, d = 2.772 Å, I = 386; (1 0 3), 2θ 42.45, d = 2.130 Å, I = 240; (0 2 2), 2θ 43.20, d = 2.094 Å, I = 439; (3 0 0), 2θ 52.53, d = 1.742 Å, I = 418; (2 1 2), 2θ 53.24, d = 1.721 Å, I = 377; (3 0 1), 2θ 54.24, d = 1.691 Å, I = 113; (2 2 0), 2θ 61.47, d = 1.509 Å, I = 296; (1 3 2), 2θ 70.26, d = 1.340 Å, I = 155

---

No. 7
Theoretical powder XRD pattern of Dy12Ho7Er for a wavelength of 1.5418 Å, from a structure optimized by DFT (GGA-PBE).
Lines closer than 0.1° are merged.

Structural model:
```
data_Dy12Ho7Er
_chemical_formula_sum 'Dy36 Ho21 Er3'
_cell_length_a 18.4479
_cell_length_b 18.4479
_cell_length_c 6.6359
_cell_angle_alpha 90.00
_cell_angle_beta 90.00
_cell_angle_gamma 120.00
_symmetry_space_group_name_H-M 'R -3'
_symmetry_Int_Tables_number 148
_symmetry_space_group_name_Hall '-R 3'
loop_
_atom_site_label
_atom_site_type_symbol
_atom_site_fract_x
_atom_site_fract_y
_atom_site_fract_z
Dy1 Dy 0.9996 0.2114 0.2173
Dy2 Dy 0.0061 0.4712 0.2409
Ho1 Ho 0.0000 0.0000 0.0000
Ho2 Ho 0.0077 0.8520 0.2801
Er1 Er 0.0000 0.0000 0.5000
```

Most intense lines, 2θ = 10–80°, sorted by position:
(4 1 0), 2θ 25.55, d = 3.486 Å, I = 214; (5 -2 1), 2θ 27.81, d = 3.208 Å, I = 647; (3 3 0), 2θ 29.04, d = 3.075 Å, I = 178; (3 -2 2), 2θ 30.75, d = 2.908 Å, I = 646; (2 4 1), 2θ 32.58, d = 2.748 Å, I = 199; (6 0 0), 2θ 33.69, d = 2.660 Å, I = 1000; (0 4 2), 2θ 35.14, d = 2.554 Å, I = 160; (5 -3 2), 2θ 36.53, d = 2.460 Å, I = 264; (3 5 1), 2θ 41.86, d = 2.158 Å, I = 372; (1 4 3), 2θ 48.76, d = 1.868 Å, I = 167; (11 -8 1), 2θ 58.58, d = 1.576 Å, I = 226; (1 7 3), 2θ 60.55, d = 1.529 Å, I = 196

---

No. 8
Theoretical powder XRD pattern of Ce6FeGe3 for a wavelength of 1.5418 Å, from a structure optimized by DFT (GGA-PBE).
Lines closer than 0.1° are merged.

Structural model:
```
data_Ce6FeGe3
_chemical_formula_sum 'Ce36 Fe6 Ge18'
_cell_length_a 10.8566
_cell_length_b 10.8566
_cell_length_c 14.1393
_cell_angle_alpha 90.00
_cell_angle_beta 90.00
_cell_angle_gamma 120.00
_symmetry_space_group_name_H-M 'R -3 m'
_symmetry_Int_Tables_number 166
_symmetry_space_group_name_Hall '-R 3 2"'
loop_
_atom_site_label
_atom_site_type_symbol
_atom_site_fract_x
_atom_site_fract_y
_atom_site_fract_z
Ce1 Ce 0.1109 0.2218 0.1092
Ce2 Ce 0.1113 0.2227 0.3942
Fe1 Fe 0.0000 0.0000 0.0000
Fe2 Fe 0.0000 0.0000 0.5000
Ge1 Ge 0.0592 0.5296 0.4144
```

Most intense lines, 2θ = 10–80°, sorted by position:
(1 0 4), 2θ 26.95, d = 3.309 Å, I = 114; (3 0 0), 2θ 28.48, d = 3.134 Å, I = 265; (0 3 3), 2θ 34.36, d = 2.610 Å, I = 1000; (1 3 1), 2θ 34.99, d = 2.564 Å, I = 99; (2 1 4), 2θ 35.83, d = 2.506 Å, I = 133; (0 0 6), 2θ 38.19, d = 2.357 Å, I = 90; (3 0 6), 2θ 48.33, d = 1.883 Å, I = 112; (3 3 0), 2θ 50.43, d = 1.809 Å, I = 256; (1 3 7), 2θ 57.73, d = 1.597 Å, I = 67; (6 0 3), 2θ 62.46, d = 1.487 Å, I = 146; (3 3 6), 2θ 64.99, d = 1.435 Å, I = 88; (2 3 8), 2θ 68.65, d = 1.367 Å, I = 61